(1)
# Li3CuP2O8
Computed powder diffractogram, CuKα. Input: the GGA-PBE geometry in Alexandria.
Peak positions follow from Bragg's law for the DFT cell and can differ from measured ones.

Atomic structure:
```
data_Li3CuP2O8
_chemical_formula_sum 'Li6 Cu2 P4 O16'
_cell_length_a 5.085
_cell_length_b 6.814
_cell_length_c 9.945
_cell_angle_alpha 89.78
_cell_angle_beta 89.92
_cell_angle_gamma 89.51
_space_group_name_H-M_alt 'P 1'
_space_group_IT_number 1
_space_group_name_Hall 'P 1'
loop_
_atom_site_label
_atom_site_fract_x
_atom_site_fract_y
_atom_site_fract_z
Li1 0.000 0.000 0.000
Li2 0.001 0.507 0.987
Li3 0.628 0.039 0.724
Li4 0.638 0.529 0.231
Li5 0.642 0.538 0.734
Li6 0.969 0.570 0.465
Cu1 0.044 0.069 0.510
Cu2 0.615 0.035 0.238
P1 0.126 0.283 0.237
P2 0.147 0.291 0.712
P3 0.492 0.801 0.476
P4 0.507 0.767 0.981
O1 0.000 0.103 0.320
O2 0.010 0.477 0.284
O3 0.039 0.071 0.705
O4 0.065 0.242 0.090
O5 0.097 0.336 0.556
O6 0.185 0.804 0.496
O7 0.208 0.766 0.999
O8 0.431 0.277 0.266
O9 0.436 0.291 0.749
O10 0.554 0.785 0.320
O11 0.589 0.798 0.833
O12 0.603 0.997 0.526
O13 0.614 0.620 0.542
O14 0.632 0.952 0.057
O15 0.638 0.583 0.041
O16 0.977 0.423 0.798
```

Top 8 peaks for 2θ = 15–90°, sorted by position:
two_theta  d_spacing  I (rel.)
15.8  5.617  56
19.6  4.527  37
21.7  4.092  44
21.9  4.059  64
22.1  4.014  100
28.2  3.160  57
35.3  2.542  52
36.1  2.486  45



(2)
# CeH8Os2
Computed powder diffractogram, CuKα. Input: the GGA-PBE geometry in Alexandria.
Peak positions follow from Bragg's law for the DFT cell and can differ from measured ones.

Atomic structure:
```
data_CeH8Os2
_chemical_formula_sum 'Ce1 H8 Os2'
_cell_length_a 4.810
_cell_length_b 4.810
_cell_length_c 4.479
_cell_angle_alpha 91.96
_cell_angle_beta 91.96
_cell_angle_gamma 119.83
_space_group_name_H-M_alt 'P 1'
_space_group_IT_number 1
_space_group_name_Hall 'P 1'
loop_
_atom_site_label
_atom_site_fract_x
_atom_site_fract_y
_atom_site_fract_z
Ce1 0.000 0.000 0.000
H1 0.132 0.584 0.180
H2 0.204 0.945 0.471
H3 0.487 0.487 0.821
H4 0.538 0.969 0.772
H5 0.577 0.577 0.317
H6 0.584 0.132 0.180
H7 0.945 0.204 0.471
H8 0.969 0.538 0.772
Os1 0.264 0.585 0.530
Os2 0.585 0.264 0.530
```

Top 8 peaks for 2θ = 15–90°, sorted by position:
two_theta  d_spacing  I (rel.)
19.9  4.469  39
28.4  3.141  59
29.3  3.046  47
30.2  2.961  55
37.4  2.404  100
40.4  2.234  29
55.2  1.665  21
57.2  1.609  22



(3)
# AlFe2B4
Computed powder diffractogram, CuKα. Input: the GGA-PBE geometry in Alexandria.
Peak positions follow from Bragg's law for the DFT cell and can differ from measured ones.

Atomic structure:
```
data_AlFe2B4
_chemical_formula_sum 'Al2 Fe4 B8'
_cell_length_a 2.935
_cell_length_b 3.155
_cell_length_c 12.271
_cell_angle_alpha 90.00
_cell_angle_beta 90.00
_cell_angle_gamma 90.00
_space_group_name_H-M_alt 'P 1'
_space_group_IT_number 1
_space_group_name_Hall 'P 1'
loop_
_atom_site_label
_atom_site_fract_x
_atom_site_fract_y
_atom_site_fract_z
Al1 0.000 0.000 0.000
Al2 0.500 0.500 0.500
Fe1 0.000 0.500 0.317
Fe2 0.000 0.500 0.683
Fe3 0.500 0.000 0.183
Fe4 0.500 0.000 0.817
B1 0.000 0.000 0.429
B2 0.000 0.000 0.571
B3 0.000 0.500 0.150
B4 0.000 0.500 0.850
B5 0.500 0.000 0.350
B6 0.500 0.000 0.650
B7 0.500 0.500 0.071
B8 0.500 0.500 0.929
```

Top 8 peaks for 2θ = 15–90°, sorted by position:
two_theta  d_spacing  I (rel.)
29.2  3.055  29
36.0  2.498  36
37.7  2.384  85
42.1  2.149  35
44.3  2.045  26
44.7  2.028  100
46.9  1.937  57
76.3  1.249  29



(4)
# NdZn2PN
Computed powder diffractogram, CuKα. Input: the GGA-PBE geometry in Alexandria.
Peak positions follow from Bragg's law for the DFT cell and can differ from measured ones.

Atomic structure:
```
data_NdZn2PN
_chemical_formula_sum 'Nd2 Zn4 P2 N2'
_cell_length_a 5.866
_cell_length_b 5.866
_cell_length_c 7.757
_cell_angle_alpha 90.00
_cell_angle_beta 90.00
_cell_angle_gamma 143.03
_space_group_name_H-M_alt 'P 1'
_space_group_IT_number 1
_space_group_name_Hall 'P 1'
loop_
_atom_site_label
_atom_site_fract_x
_atom_site_fract_y
_atom_site_fract_z
Nd1 0.043 0.957 0.750
Nd2 0.957 0.043 0.250
Zn1 0.327 0.673 0.553
Zn2 0.327 0.673 0.947
Zn3 0.673 0.327 0.053
Zn4 0.673 0.327 0.447
P1 0.235 0.765 0.250
P2 0.765 0.235 0.750
N1 0.500 0.500 0.000
N2 0.500 0.500 0.500
```

Top 8 peaks for 2θ = 15–90°, sorted by position:
two_theta  d_spacing  I (rel.)
28.0  3.182  39
34.1  2.626  56
34.2  2.618  39
34.4  2.610  100
36.1  2.488  34
38.4  2.345  24
49.0  1.860  23
64.9  1.436  20



(5)
# AcBeInPd6
Computed powder diffractogram, CuKα. Input: the GGA-PBE geometry in Alexandria.
Peak positions follow from Bragg's law for the DFT cell and can differ from measured ones.

Atomic structure:
```
data_AcBeInPd6
_chemical_formula_sum 'Ac2 Be2 In2 Pd12'
_cell_length_a 7.900
_cell_length_b 7.900
_cell_length_c 7.900
_cell_angle_alpha 129.61
_cell_angle_beta 114.19
_cell_angle_gamma 87.29
_space_group_name_H-M_alt 'P 1'
_space_group_IT_number 1
_space_group_name_Hall 'P 1'
loop_
_atom_site_label
_atom_site_fract_x
_atom_site_fract_y
_atom_site_fract_z
Ac1 0.461 0.211 0.250
Ac2 0.539 0.789 0.750
Be1 0.000 0.000 0.000
Be2 0.500 0.000 0.500
In1 0.000 0.000 0.500
In2 0.000 0.500 0.000
Pd1 0.124 0.403 0.291
Pd2 0.124 0.833 0.721
Pd3 0.185 0.935 0.250
Pd4 0.255 0.505 0.750
Pd5 0.388 0.167 0.791
Pd6 0.388 0.597 0.221
Pd7 0.612 0.403 0.779
Pd8 0.612 0.833 0.209
Pd9 0.745 0.495 0.250
Pd10 0.815 0.065 0.750
Pd11 0.876 0.167 0.279
Pd12 0.876 0.597 0.709
```

Top 8 peaks for 2θ = 15–90°, sorted by position:
two_theta  d_spacing  I (rel.)
29.6  3.020  45
33.9  2.647  100
34.2  2.624  31
35.7  2.515  33
37.2  2.420  46
37.8  2.379  86
41.5  2.178  28
42.1  2.146  54



(6)
# HgH3Pd3
Computed powder diffractogram, CuKα. Input: the GGA-PBE geometry in Alexandria.
Peak positions follow from Bragg's law for the DFT cell and can differ from measured ones.

Atomic structure:
```
data_HgH3Pd3
_chemical_formula_sum 'Hg2 H6 Pd6'
_cell_length_a 3.017
_cell_length_b 5.514
_cell_length_c 9.976
_cell_angle_alpha 99.76
_cell_angle_beta 98.67
_cell_angle_gamma 105.28
_space_group_name_H-M_alt 'P 1'
_space_group_IT_number 1
_space_group_name_Hall 'P 1'
loop_
_atom_site_label
_atom_site_fract_x
_atom_site_fract_y
_atom_site_fract_z
Hg1 0.104 0.006 0.202
Hg2 0.896 0.994 0.798
H1 0.052 0.494 0.621
H2 0.285 0.485 0.092
H3 0.351 0.150 0.557
H4 0.649 0.850 0.443
H5 0.715 0.515 0.908
H6 0.948 0.506 0.379
Pd1 0.171 0.788 0.548
Pd2 0.342 0.717 0.970
Pd3 0.438 0.583 0.284
Pd4 0.562 0.417 0.716
Pd5 0.658 0.283 0.030
Pd6 0.829 0.212 0.452
```

Top 8 peaks for 2θ = 15–90°, sorted by position:
two_theta  d_spacing  I (rel.)
35.5  2.527  98
36.0  2.494  82
37.7  2.387  100
37.7  2.384  100
40.4  2.233  71
40.8  2.209  68
43.1  2.100  31
46.6  1.949  41



(7)
# ErHPb
Computed powder diffractogram, CuKα. Input: the GGA-PBE geometry in Alexandria.
Peak positions follow from Bragg's law for the DFT cell and can differ from measured ones.

Atomic structure:
```
data_ErHPb
_chemical_formula_sum 'Er2 H2 Pb2'
_cell_length_a 3.541
_cell_length_b 5.584
_cell_length_c 6.296
_cell_angle_alpha 85.23
_cell_angle_beta 73.73
_cell_angle_gamma 89.86
_space_group_name_H-M_alt 'P 1'
_space_group_IT_number 1
_space_group_name_Hall 'P 1'
loop_
_atom_site_label
_atom_site_fract_x
_atom_site_fract_y
_atom_site_fract_z
Er1 0.137 0.356 0.230
Er2 0.863 0.644 0.770
H1 0.270 0.623 0.958
H2 0.730 0.377 0.042
Pb1 0.392 0.150 0.709
Pb2 0.608 0.850 0.291
```

Top 8 peaks for 2θ = 15–90°, sorted by position:
two_theta  d_spacing  I (rel.)
29.7  3.011  50
31.2  2.869  100
34.3  2.612  39
36.7  2.450  93
49.6  1.836  12
51.6  1.771  13
60.7  1.526  14
60.9  1.522  10



(8)
# Tb5Nd4Tl2
Computed powder diffractogram, CuKα. Input: the GGA-PBE geometry in Alexandria.
Peak positions follow from Bragg's law for the DFT cell and can differ from measured ones.

Atomic structure:
```
data_Tb5Nd4Tl2
_chemical_formula_sum 'Tb5 Nd4 Tl2'
_cell_length_a 16.337
_cell_length_b 16.337
_cell_length_c 16.337
_cell_angle_alpha 18.57
_cell_angle_beta 18.57
_cell_angle_gamma 18.57
_space_group_name_H-M_alt 'P 1'
_space_group_IT_number 1
_space_group_name_Hall 'P 1'
loop_
_atom_site_label
_atom_site_fract_x
_atom_site_fract_y
_atom_site_fract_z
Tb1 0.000 0.000 0.000
Tb2 0.149 0.149 0.149
Tb3 0.302 0.302 0.302
Tb4 0.698 0.698 0.698
Tb5 0.851 0.851 0.851
Nd1 0.074 0.074 0.074
Nd2 0.224 0.224 0.224
Nd3 0.776 0.776 0.776
Nd4 0.926 0.926 0.926
Tl1 0.376 0.376 0.376
Tl2 0.624 0.624 0.624
```

Top 8 peaks for 2θ = 15–90°, sorted by position:
two_theta  d_spacing  I (rel.)
31.1  2.876  98
32.6  2.747  31
34.0  2.635  100
46.8  1.943  32
59.1  1.564  32
60.9  1.522  19
62.9  1.477  23
80.1  1.198  13



(9)
# ErTm3Sc2S6
Computed powder diffractogram, CuKα. Input: the GGA-PBE geometry in Alexandria.
Peak positions follow from Bragg's law for the DFT cell and can differ from measured ones.

Atomic structure:
```
data_ErTm3Sc2S6
_chemical_formula_sum 'Er1 Tm3 Sc2 S6'
_cell_length_a 8.482
_cell_length_b 8.482
_cell_length_c 7.617
_cell_angle_alpha 102.95
_cell_angle_beta 102.95
_cell_angle_gamma 25.86
_space_group_name_H-M_alt 'P 1'
_space_group_IT_number 1
_space_group_name_Hall 'P 1'
loop_
_atom_site_label
_atom_site_fract_x
_atom_site_fract_y
_atom_site_fract_z
Er1 0.000 0.000 0.000
Tm1 0.000 0.000 0.500
Tm2 0.334 0.334 0.169
Tm3 0.666 0.666 0.831
Sc1 0.333 0.333 0.665
Sc2 0.667 0.667 0.335
S1 0.168 0.168 0.090
S2 0.169 0.169 0.578
S3 0.497 0.497 0.747
S4 0.503 0.503 0.253
S5 0.831 0.831 0.422
S6 0.832 0.832 0.910
```

Top 8 peaks for 2θ = 15–90°, sorted by position:
two_theta  d_spacing  I (rel.)
28.8  3.102  66
33.4  2.686  100
47.9  1.899  59
56.9  1.619  21
59.5  1.553  12
59.7  1.549  12
79.8  1.201  16
89.4  1.096  12



(10)
# Tb2PrUAs4
Computed powder diffractogram, CuKα. Input: the GGA-PBE geometry in Alexandria.
Peak positions follow from Bragg's law for the DFT cell and can differ from measured ones.

Atomic structure:
```
data_Tb2PrUAs4
_chemical_formula_sum 'Tb4 Pr2 U2 As8'
_cell_length_a 5.893
_cell_length_b 5.893
_cell_length_c 11.779
_cell_angle_alpha 90.00
_cell_angle_beta 90.00
_cell_angle_gamma 90.00
_space_group_name_H-M_alt 'P 1'
_space_group_IT_number 1
_space_group_name_Hall 'P 1'
loop_
_atom_site_label
_atom_site_fract_x
_atom_site_fract_y
_atom_site_fract_z
Tb1 0.000 0.000 0.000
Tb2 0.000 0.500 0.250
Tb3 0.500 0.000 0.750
Tb4 0.500 0.500 0.500
Pr1 0.000 0.500 0.750
Pr2 0.500 0.000 0.250
U1 0.000 0.000 0.500
U2 0.500 0.500 0.000
As1 0.000 0.000 0.255
As2 0.000 0.000 0.745
As3 0.000 0.500 0.004
As4 0.000 0.500 0.496
As5 0.500 0.000 0.504
As6 0.500 0.000 0.996
As7 0.500 0.500 0.245
As8 0.500 0.500 0.755
```

Top 8 peaks for 2θ = 15–90°, sorted by position:
two_theta  d_spacing  I (rel.)
26.2  3.401  27
30.3  2.946  100
43.4  2.083  75
51.4  1.776  14
53.9  1.701  27
63.1  1.473  12
71.6  1.317  34
79.7  1.203  26



(11)
# Ta3Ir3Ru
Computed powder diffractogram, CuKα. Input: the GGA-PBE geometry in Alexandria.
Peak positions follow from Bragg's law for the DFT cell and can differ from measured ones.

Atomic structure:
```
data_Ta3Ir3Ru
_chemical_formula_sum 'Ta12 Ir12 Ru4'
_cell_length_a 7.756
_cell_length_b 7.756
_cell_length_c 7.756
_cell_angle_alpha 90.00
_cell_angle_beta 90.00
_cell_angle_gamma 90.00
_space_group_name_H-M_alt 'P 1'
_space_group_IT_number 1
_space_group_name_Hall 'P 1'
loop_
_atom_site_label
_atom_site_fract_x
_atom_site_fract_y
_atom_site_fract_z
Ta1 0.035 0.312 0.869
Ta2 0.131 0.535 0.188
Ta3 0.188 0.131 0.535
Ta4 0.312 0.869 0.035
Ta5 0.369 0.465 0.688
Ta6 0.465 0.688 0.369
Ta7 0.535 0.188 0.131
Ta8 0.631 0.965 0.812
Ta9 0.688 0.369 0.465
Ta10 0.812 0.631 0.965
Ta11 0.869 0.035 0.312
Ta12 0.965 0.812 0.631
Ir1 0.040 0.460 0.540
Ir2 0.161 0.839 0.339
Ir3 0.164 0.164 0.164
Ir4 0.336 0.836 0.664
Ir5 0.339 0.161 0.839
Ir6 0.460 0.540 0.040
Ir7 0.540 0.040 0.460
Ir8 0.661 0.661 0.661
Ir9 0.664 0.336 0.836
Ir10 0.836 0.664 0.336
Ir11 0.839 0.339 0.161
Ir12 0.960 0.960 0.960
Ru1 0.132 0.632 0.868
Ru2 0.368 0.368 0.368
Ru3 0.632 0.868 0.132
Ru4 0.868 0.132 0.632
```

Top 8 peaks for 2θ = 15–90°, sorted by position:
two_theta  d_spacing  I (rel.)
36.6  2.453  100
38.5  2.338  44
40.3  2.239  15
42.0  2.151  42
43.7  2.073  92
48.4  1.881  18
60.9  1.521  14
75.6  1.258  38